(1)
Computed XRD peak list of TaSb3O8 for λ = 1.5418 Å (Cu Kα), from a cell relaxed with PBE.
Intensities are scaled so that the largest is 1000.

Atomic structure:
Lattice parameters (Å, degrees): 4.961 5.579 23.913 90.04 90.00 90.03
Space group P1 (No. 1)
Asymmetric unit:
Ta1 0.000 0.000 0.000 (multiplicity 1)
Ta2 0.000 0.264 0.750 (multiplicity 1)
Ta3 0.005 0.269 0.250 (multiplicity 1)
Ta4 0.506 0.764 0.750 (multiplicity 1)
Sb1 0.002 0.001 0.500 (multiplicity 1)
Sb2 0.046 0.616 0.376 (multiplicity 1)
Sb3 0.051 0.617 0.876 (multiplicity 1)
Sb4 0.454 0.114 0.875 (multiplicity 1)
Sb5 0.459 0.118 0.375 (multiplicity 1)
Sb6 0.500 0.500 0.001 (multiplicity 1)
Sb7 0.503 0.501 0.500 (multiplicity 1)
Sb8 0.505 0.769 0.251 (multiplicity 1)
Sb9 0.548 0.149 0.625 (multiplicity 1)
Sb10 0.549 0.152 0.126 (multiplicity 1)
Sb11 0.957 0.652 0.126 (multiplicity 1)
Sb12 0.958 0.649 0.625 (multiplicity 1)
O1 0.160 0.955 0.423 (multiplicity 1)
O2 0.161 0.954 0.923 (multiplicity 1)
O3 0.168 0.289 0.829 (multiplicity 1)
O4 0.168 0.291 0.329 (multiplicity 1)
O5 0.207 0.713 0.530 (multiplicity 1)
O6 0.213 0.716 0.028 (multiplicity 1)
O7 0.219 0.997 0.226 (multiplicity 1)
O8 0.223 0.003 0.725 (multiplicity 1)
O9 0.283 0.503 0.725 (multiplicity 1)
O10 0.287 0.497 0.224 (multiplicity 1)
O11 0.293 0.213 0.027 (multiplicity 1)
O12 0.298 0.212 0.529 (multiplicity 1)
O13 0.337 0.790 0.829 (multiplicity 1)
O14 0.340 0.791 0.330 (multiplicity 1)
O15 0.344 0.455 0.423 (multiplicity 1)
O16 0.346 0.454 0.923 (multiplicity 1)
O17 0.661 0.814 0.173 (multiplicity 1)
O18 0.664 0.477 0.579 (multiplicity 1)
O19 0.664 0.479 0.080 (multiplicity 1)
O20 0.665 0.813 0.673 (multiplicity 1)
O21 0.711 0.056 0.277 (multiplicity 1)
O22 0.713 0.778 0.471 (multiplicity 1)
O23 0.714 0.058 0.777 (multiplicity 1)
O24 0.718 0.772 0.974 (multiplicity 1)
O25 0.786 0.272 0.976 (multiplicity 1)
O26 0.792 0.279 0.471 (multiplicity 1)
O27 0.792 0.553 0.278 (multiplicity 1)
O28 0.792 0.558 0.777 (multiplicity 1)
O29 0.838 0.978 0.079 (multiplicity 1)
O30 0.840 0.313 0.673 (multiplicity 1)
O31 0.841 0.977 0.579 (multiplicity 1)
O32 0.844 0.313 0.173 (multiplicity 1)

Main lines, by intensity (2θ from 10° to 80°):
| two_theta | intensity | (hkl) |
| --- | --- | --- |
| 28.33 | 1000 | 1 -1 4 |
| 25.15 | 436 | 1 1 -2 |
| 29.89 | 312 | 0 0 8 |
| 32.99 | 281 | 0 2 -2 |
| 52.11 | 204 | 1 -1 12 |
| 47.64 | 173 | 2 0 8 |
| 49.78 | 131 | 2 -2 2 |
| 36.21 | 125 | 2 0 0 |
| 52.56 | 123 | 1 3 0 |
| 61.64 | 120 | 1 3 8 |


(2)
Computed XRD peak list of Mn3Al9Si for λ = 1.5418 Å (Cu Kα), from a cell relaxed with PBE.
Intensities are scaled so that the largest is 1000.

Atomic structure:
Lattice parameters (Å, degrees): 7.4837 7.4837 7.6403 90.00 90.00 120.00
Space group P6_3/mmc (No. 194)
Asymmetric unit:
Mn1 0.1192 0.2385 0.2500 (multiplicity 6)
Al1 0.0853 0.5426 0.2500 (multiplicity 6)
Al2 0.2003 0.4006 0.5642 (multiplicity 12)
Si1 0.0000 0.0000 0.0000 (multiplicity 2)

Main lines, by intensity (2θ from 10° to 80°):
| two_theta | intensity | (hkl) |
| --- | --- | --- |
| 43.53 | 1000 | 3 0 1 |
| 13.66 | 897 | 1 0 0 |
| 43.91 | 868 | 2 1 2 |
| 45.29 | 592 | 2 0 3 |
| 76.34 | 426 | 3 3 0 |
| 37.96 | 311 | 1 0 3 |
| 41.81 | 235 | 3 0 0 |
| 73.80 | 183 | 3 2 3 |
| 23.28 | 170 | 0 0 2 |
| 77.81 | 166 | 5 0 2 |


(3)
Computed XRD peak list of HoTeClO3 for λ = 1.5418 Å (Cu Kα), from a cell relaxed with PBE.
Intensities are scaled so that the largest is 1000.

Atomic structure:
Lattice parameters (Å, degrees): 7.392 7.011 9.138 90.00 90.00 90.00
Space group Pnma (No. 62)
Asymmetric unit:
Ho1 0.093 0.250 0.036 (multiplicity 4)
Te1 0.183 0.250 0.631 (multiplicity 4)
Cl1 0.068 0.750 0.687 (multiplicity 4)
O1 0.145 0.566 0.065 (multiplicity 8)
O2 0.242 0.250 0.830 (multiplicity 4)

Main lines, by intensity (2θ from 10° to 80°):
| two_theta | intensity | (hkl) |
| --- | --- | --- |
| 25.41 | 1000 | 0 2 0 |
| 22.88 | 736 | 1 0 2 |
| 15.42 | 701 | 1 0 1 |
| 27.28 | 671 | 2 1 0 |
| 40.02 | 395 | 3 1 1 |
| 29.01 | 367 | 2 1 1 |
| 31.77 | 367 | 1 0 3 |
| 33.71 | 357 | 2 1 2 |
| 34.45 | 331 | 1 2 2 |
| 41.11 | 312 | 1 2 3 |


(4)
Computed XRD peak list of Na3ScSi2GeSO12 for λ = 1.5418 Å (Cu Kα), from a cell relaxed with PBE.
Intensities are scaled so that the largest is 1000.

Atomic structure:
Lattice parameters (Å, degrees): 15.278 9.123 9.280 90.00 126.82 90.00
Space group Cc (No. 9)
Asymmetric unit:
Na1 0.000 0.064 0.000 (multiplicity 4)
Na2 0.369 0.073 0.721 (multiplicity 4)
Na3 0.441 0.239 0.129 (multiplicity 4)
Sc1 0.077 0.255 0.468 (multiplicity 4)
Si1 0.031 0.389 0.075 (multiplicity 4)
Si2 0.178 0.047 0.866 (multiplicity 4)
Ge1 0.274 0.212 0.242 (multiplicity 4)
S1 0.328 0.407 0.650 (multiplicity 4)
O1 0.018 0.440 0.524 (multiplicity 4)
O2 0.022 0.359 0.236 (multiplicity 4)
O3 0.098 0.146 0.689 (multiplicity 4)
O4 0.109 0.059 0.403 (multiplicity 4)
O5 0.142 0.299 0.118 (multiplicity 4)
O6 0.228 0.342 0.614 (multiplicity 4)
O7 0.263 0.053 0.346 (multiplicity 4)
O8 0.269 0.140 0.054 (multiplicity 4)
O9 0.335 0.433 0.181 (multiplicity 4)
O10 0.337 0.375 0.504 (multiplicity 4)
O11 0.416 0.334 0.824 (multiplicity 4)
O12 0.428 0.203 0.384 (multiplicity 4)

Main lines, by intensity (2θ from 10° to 80°):
| two_theta | intensity | (hkl) |
| --- | --- | --- |
| 22.93 | 1000 | 2 2 -1 |
| 30.52 | 898 | 3 1 -3 |
| 31.24 | 892 | 4 2 -2 |
| 34.28 | 875 | 1 3 1 |
| 19.13 | 803 | 2 0 -2 |
| 13.61 | 774 | 1 1 -1 |
| 32.44 | 742 | 5 1 -1 |
| 20.00 | 708 | 3 1 -1 |
| 19.86 | 696 | 1 1 1 |
| 23.92 | 598 | 3 1 0 |